Diffraction record for ZnSnSb2. The XRD peak list is theoretical, not measured: it uses DFT lattice parameters and positions (GGA-PBE) and a wavelength of 1.5418 Å.
Lines closer than 0.1° are merged.

Peak list (10 most intense, 2θ = 10–90°, by angle)
- 2θ = 24.08°, rel. 100, hkl 1 0 1
- 2θ = 39.50°, rel. 27, hkl 2 0 0
- 2θ = 39.99°, rel. 50, hkl 1 1 2
- 2θ = 46.79°, rel. 33, hkl 2 1 1
- 2θ = 47.64°, rel. 14, hkl 1 0 3
- 2θ = 57.09°, rel. 9, hkl 2 2 0
- 2θ = 62.85°, rel. 7, hkl 3 0 1
- 2θ = 63.55°, rel. 11, hkl 2 1 3
- 2θ = 71.97°, rel. 17, hkl 3 1 2
- 2θ = 76.82°, rel. 8, hkl 3 2 1

Crystal structure
```
data_ZnSnSb2
_chemical_formula_sum 'Zn1 Sn1 Sb2'
_symmetry_space_group_name_H-M 'P -4 m 2'
_symmetry_Int_Tables_number 115
_symmetry_space_group_name_Hall 'P -4 -2'
_cell_length_a 4.563
_cell_length_b 4.563
_cell_length_c 6.304
_cell_angle_alpha 90.00
_cell_angle_beta 90.00
_cell_angle_gamma 90.00
loop_
_atom_site_label
_atom_site_type_symbol
_atom_site_fract_x
_atom_site_fract_y
_atom_site_fract_z
Zn1 Zn 0.000 0.000 0.000
Sn1 Sn 0.500 0.500 0.500
Sb1 Sb 0.000 0.500 0.222
```

Diffraction record for SrZn2Sb2. The XRD peak list is theoretical, not measured: it uses DFT lattice parameters and positions (GGA-PBE) and a wavelength of 1.5418 Å.
Lines closer than 0.1° are merged.

Peak list (10 most intense, 2θ = 10–90°, by angle)
- 2θ = 22.49°, rel. 20, hkl 1 0 0
- 2θ = 25.28°, rel. 100, hkl 0 1 1
- 2θ = 32.32°, rel. 74, hkl 0 1 2
- 2θ = 34.66°, rel. 18, hkl 0 0 3
- 2θ = 39.48°, rel. 95, hkl 1 1 0
- 2θ = 41.71°, rel. 51, hkl 0 1 3
- 2θ = 51.91°, rel. 19, hkl 2 0 2
- 2θ = 53.53°, rel. 30, hkl 1 1 3
- 2θ = 58.78°, rel. 18, hkl 2 0 3
- 2θ = 73.13°, rel. 18, hkl 1 2 3

Crystal structure
```
data_SrZn2Sb2
_chemical_formula_sum 'Sr1 Zn2 Sb2'
_symmetry_space_group_name_H-M 'P -3 m 1'
_symmetry_Int_Tables_number 164
_symmetry_space_group_name_Hall '-P 3 2"'
_cell_length_a 4.5652
_cell_length_b 4.5652
_cell_length_c 7.7636
_cell_angle_alpha 90.00
_cell_angle_beta 90.00
_cell_angle_gamma 120.00
loop_
_atom_site_label
_atom_site_type_symbol
_atom_site_fract_x
_atom_site_fract_y
_atom_site_fract_z
Sr1 Sr 0.0000 0.0000 0.0000
Zn1 Zn 0.3333 0.6667 0.6345
Sb1 Sb 0.3333 0.6667 0.2707
```

Diffraction record for Ta3Sb. The XRD peak list is theoretical, not measured: it uses DFT lattice parameters and positions (GGA-PBE) and a wavelength of 1.5418 Å.
Lines closer than 0.1° are merged.

Peak list (10 most intense, 2θ = 10–90°, by angle)
- 2θ = 33.81°, rel. 24, hkl 2 0 0
- 2θ = 37.94°, rel. 100, hkl 2 1 0
- 2θ = 41.72°, rel. 54, hkl 2 1 1
- 2θ = 60.48°, rel. 12, hkl 2 2 2
- 2θ = 63.22°, rel. 23, hkl 3 2 0
- 2θ = 65.90°, rel. 28, hkl 3 2 1
- 2θ = 71.11°, rel. 14, hkl 4 0 0
- 2θ = 81.10°, rel. 8, hkl 4 2 0
- 2θ = 83.55°, rel. 21, hkl 4 2 1
- 2θ = 85.98°, rel. 7, hkl 3 3 2

Crystal structure
```
data_Ta3Sb
_chemical_formula_sum 'Ta6 Sb2'
_symmetry_space_group_name_H-M 'P m -3 n'
_symmetry_Int_Tables_number 223
_symmetry_space_group_name_Hall '-P 4n 2 3'
_cell_length_a 5.303
_cell_length_b 5.303
_cell_length_c 5.303
_cell_angle_alpha 90.00
_cell_angle_beta 90.00
_cell_angle_gamma 90.00
loop_
_atom_site_label
_atom_site_type_symbol
_atom_site_fract_x
_atom_site_fract_y
_atom_site_fract_z
Ta1 Ta 0.000 0.250 0.500
Sb1 Sb 0.000 0.000 0.000
```

Diffraction record for TaSb3. The XRD peak list is theoretical, not measured: it uses DFT lattice parameters and positions (GGA-PBE) and a wavelength of 1.5418 Å.
Lines closer than 0.1° are merged.

Peak list (10 most intense, 2θ = 10–90°, by angle)
- 2θ = 21.35°, rel. 3, hkl 1 1 1
- 2θ = 24.70°, rel. 1, hkl 2 0 0
- 2θ = 35.21°, rel. 100, hkl 2 2 0
- 2θ = 41.54°, rel. 1, hkl 3 1 1
- 2θ = 50.64°, rel. 18, hkl 4 0 0
- 2θ = 55.56°, rel. 1, hkl 3 3 1
- 2θ = 57.13°, rel. 1, hkl 4 2 0
- 2θ = 63.18°, rel. 36, hkl 4 2 2
- 2θ = 74.44°, rel. 11, hkl 4 4 0
- 2θ = 85.10°, rel. 16, hkl 6 2 0

Crystal structure
```
data_TaSb3
_chemical_formula_sum 'Ta4 Sb12'
_symmetry_space_group_name_H-M 'F m -3 m'
_symmetry_Int_Tables_number 225
_symmetry_space_group_name_Hall '-F 4 2 3'
_cell_length_a 7.210
_cell_length_b 7.210
_cell_length_c 7.210
_cell_angle_alpha 90.00
_cell_angle_beta 90.00
_cell_angle_gamma 90.00
loop_
_atom_site_label
_atom_site_type_symbol
_atom_site_fract_x
_atom_site_fract_y
_atom_site_fract_z
Ta1 Ta 0.000 0.000 0.000
Sb1 Sb 0.000 0.000 0.500
Sb2 Sb 0.250 0.250 0.250
```

Diffraction record for Ta5Sb4. The XRD peak list is theoretical, not measured: it uses DFT lattice parameters and positions (GGA-PBE) and a wavelength of 1.5418 Å.
Lines closer than 0.1° are merged.

Peak list (10 most intense, 2θ = 10–90°, by angle)
- 2θ = 12.10°, rel. 31, hkl 1 1 0
- 2θ = 31.57°, rel. 29, hkl 2 1 1
- 2θ = 36.14°, rel. 100, hkl 3 0 1
- 2θ = 36.86°, rel. 30, hkl 3 3 0
- 2θ = 38.93°, rel. 38, hkl 2 4 0
- 2θ = 44.05°, rel. 29, hkl 4 1 1
- 2θ = 50.94°, rel. 16, hkl 0 0 2
- 2θ = 63.11°, rel. 13, hkl 5 4 1
- 2θ = 65.92°, rel. 20, hkl 2 4 2
- 2θ = 71.40°, rel. 20, hkl 2 7 1

Crystal structure
```
data_Ta5Sb4
_chemical_formula_sum 'Ta10 Sb8'
_symmetry_space_group_name_H-M 'I 4/m'
_symmetry_Int_Tables_number 87
_symmetry_space_group_name_Hall '-I 4'
_cell_length_a 10.346
_cell_length_b 10.346
_cell_length_c 3.585
_cell_angle_alpha 90.00
_cell_angle_beta 90.00
_cell_angle_gamma 90.00
loop_
_atom_site_label
_atom_site_type_symbol
_atom_site_fract_x
_atom_site_fract_y
_atom_site_fract_z
Ta1 Ta 0.000 0.000 0.000
Ta2 Ta 0.128 0.187 0.500
Sb1 Sb 0.052 0.704 0.000
```

Diffraction record for TaSb2. The XRD peak list is theoretical, not measured: it uses DFT lattice parameters and positions (GGA-PBE) and a wavelength of 1.5418 Å.
Lines closer than 0.1° are merged.

Peak list (10 most intense, 2θ = 10–90°, by angle)
- 2θ = 31.07°, rel. 100, hkl 1 1 1
- 2θ = 32.40°, rel. 43, hkl 1 1 -2
- 2θ = 35.73°, rel. 33, hkl 3 1 -1
- 2θ = 36.92°, rel. 34, hkl 3 1 -2
- 2θ = 37.28°, rel. 46, hkl 0 0 3
- 2θ = 38.87°, rel. 52, hkl 3 1 0
- 2θ = 39.66°, rel. 41, hkl 1 1 2
- 2θ = 40.42°, rel. 38, hkl 4 0 0
- 2θ = 42.11°, rel. 51, hkl 3 1 -3
- 2θ = 49.36°, rel. 35, hkl 0 2 0

Crystal structure
```
data_TaSb2
_chemical_formula_sum 'Ta4 Sb8'
_symmetry_space_group_name_H-M 'C 1 2/m 1'
_symmetry_Int_Tables_number 12
_symmetry_space_group_name_Hall '-C 2y'
_cell_length_a 10.349
_cell_length_b 3.692
_cell_length_c 8.390
_cell_angle_alpha 90.00
_cell_angle_beta 120.40
_cell_angle_gamma 90.00
loop_
_atom_site_label
_atom_site_type_symbol
_atom_site_fract_x
_atom_site_fract_y
_atom_site_fract_z
Ta1 Ta 0.151 0.000 0.189
Sb1 Sb 0.095 0.500 0.888
Sb2 Sb 0.148 0.000 0.535
```

Diffraction record for Ta5Sb4. The XRD peak list is theoretical, not measured: it uses DFT lattice parameters and positions (GGA-PBE) and a wavelength of 1.5418 Å.
Lines closer than 0.1° are merged.

Peak list (10 most intense, 2θ = 10–90°, by angle)
- 2θ = 32.61°, rel. 21, hkl 1 2 1
- 2θ = 36.58°, rel. 37, hkl 3 3 0
- 2θ = 37.00°, rel. 100, hkl 3 0 1
- 2θ = 38.64°, rel. 24, hkl 4 2 0
- 2θ = 44.32°, rel. 11, hkl 1 5 0
- 2θ = 53.96°, rel. 11, hkl 0 0 2
- 2θ = 63.36°, rel. 18, hkl 4 5 1
- 2θ = 66.96°, rel. 13, hkl 3 3 2
- 2θ = 68.32°, rel. 9, hkl 4 2 2
- 2θ = 71.51°, rel. 10, hkl 7 2 1

Crystal structure
```
data_Ta5Sb4
_chemical_formula_sum 'Ta10 Sb8'
_symmetry_space_group_name_H-M 'I 4/m'
_symmetry_Int_Tables_number 87
_symmetry_space_group_name_Hall '-I 4'
_cell_length_a 10.422
_cell_length_b 10.422
_cell_length_c 3.398
_cell_angle_alpha 90.00
_cell_angle_beta 90.00
_cell_angle_gamma 90.00
loop_
_atom_site_label
_atom_site_type_symbol
_atom_site_fract_x
_atom_site_fract_y
_atom_site_fract_z
Ta1 Ta 0.000 0.000 0.000
Ta2 Ta 0.046 0.349 0.000
Sb1 Sb 0.135 0.823 0.500
```

Diffraction record for U3TaSb5. The XRD peak list is theoretical, not measured: it uses DFT lattice parameters and positions (GGA-PBE) and a wavelength of 1.5418 Å.
Lines closer than 0.1° are merged.

Peak list (10 most intense, 2θ = 10–90°, by angle)
- 2θ = 24.33°, rel. 22, hkl 1 1 1
- 2θ = 33.29°, rel. 67, hkl 2 1 1
- 2θ = 33.85°, rel. 91, hkl 3 0 0
- 2θ = 35.49°, rel. 100, hkl 1 1 2
- 2θ = 43.70°, rel. 27, hkl 3 1 1
- 2θ = 49.85°, rel. 26, hkl 2 2 2
- 2θ = 54.73°, rel. 16, hkl 2 1 3
- 2θ = 61.62°, rel. 18, hkl 4 1 2
- 2θ = 63.87°, rel. 17, hkl 4 2 1
- 2θ = 71.73°, rel. 22, hkl 3 0 4

Crystal structure
```
data_U3TaSb5
_chemical_formula_sum 'U6 Ta2 Sb10'
_symmetry_space_group_name_H-M 'P 63/m c m'
_symmetry_Int_Tables_number 193
_symmetry_space_group_name_Hall '-P 6c 2'
_cell_length_a 9.1745
_cell_length_b 9.1745
_cell_length_c 6.0652
_cell_angle_alpha 90.00
_cell_angle_beta 90.00
_cell_angle_gamma 120.00
loop_
_atom_site_label
_atom_site_type_symbol
_atom_site_fract_x
_atom_site_fract_y
_atom_site_fract_z
U1 U 0.0000 0.3834 0.2500
Ta1 Ta 0.0000 0.0000 0.0000
Sb1 Sb 0.0000 0.2671 0.7500
Sb2 Sb 0.3333 0.6667 0.0000
```

Diffraction record for TbSb2. The XRD peak list is theoretical, not measured: it uses DFT lattice parameters and positions (GGA-PBE) and a wavelength of 1.5418 Å.
Lines closer than 0.1° are merged.

Peak list (10 most intense, 2θ = 10–90°, by angle)
- 2θ = 25.39°, rel. 16, hkl 1 1 3
- 2θ = 30.18°, rel. 40, hkl 0 0 6
- 2θ = 30.72°, rel. 48, hkl 2 0 2
- 2θ = 32.81°, rel. 100, hkl 0 2 3
- 2θ = 35.47°, rel. 46, hkl 2 0 4
- 2θ = 36.71°, rel. 29, hkl 1 1 6
- 2θ = 41.81°, rel. 54, hkl 2 2 1
- 2θ = 55.63°, rel. 19, hkl 2 2 7
- 2θ = 60.12°, rel. 23, hkl 4 0 0
- 2θ = 70.17°, rel. 23, hkl 4 2 3

Crystal structure
```
data_TbSb2
_chemical_formula_sum 'Tb8 Sb16'
_symmetry_space_group_name_H-M 'C m c e'
_symmetry_Int_Tables_number 64
_symmetry_space_group_name_Hall '-C 2ac 2'
_cell_length_a 6.160
_cell_length_b 6.152
_cell_length_c 17.767
_cell_angle_alpha 90.00
_cell_angle_beta 90.00
_cell_angle_gamma 90.00
loop_
_atom_site_label
_atom_site_type_symbol
_atom_site_fract_x
_atom_site_fract_y
_atom_site_fract_z
Tb1 Tb 0.000 0.140 0.111
Sb1 Sb 0.000 0.137 0.435
Sb2 Sb 0.250 0.125 0.750
```

Diffraction record for TbSb2. The XRD peak list is theoretical, not measured: it uses DFT lattice parameters and positions (GGA-PBE) and a wavelength of 1.5418 Å.
Lines closer than 0.1° are merged.

Peak list (10 most intense, 2θ = 10–90°, by angle)
- 2θ = 28.59°, rel. 22, hkl 1 1 0
- 2θ = 30.39°, rel. 54, hkl 0 2 1
- 2θ = 31.00°, rel. 100, hkl 1 1 1
- 2θ = 35.78°, rel. 38, hkl 0 0 3
- 2θ = 36.90°, rel. 38, hkl 0 2 2
- 2θ = 37.42°, rel. 55, hkl 1 1 2
- 2θ = 51.38°, rel. 24, hkl 1 3 1
- 2θ = 57.14°, rel. 19, hkl 1 1 4
- 2θ = 59.18°, rel. 18, hkl 2 2 0
- 2θ = 71.12°, rel. 20, hkl 2 2 3

Crystal structure
```
data_TbSb2
_chemical_formula_sum 'Tb2 Sb4'
_symmetry_space_group_name_H-M 'C 2 2 2'
_symmetry_Int_Tables_number 21
_symmetry_space_group_name_Hall 'C 2 2'
_cell_length_a 3.579
_cell_length_b 6.390
_cell_length_c 7.529
_cell_angle_alpha 90.00
_cell_angle_beta 90.00
_cell_angle_gamma 90.00
loop_
_atom_site_label
_atom_site_type_symbol
_atom_site_fract_x
_atom_site_fract_y
_atom_site_fract_z
Tb1 Tb 0.000 0.000 0.000
Sb1 Sb 0.250 0.250 0.327
```

Diffraction record for Tb5Sb3. The XRD peak list is theoretical, not measured: it uses DFT lattice parameters and positions (GGA-PBE) and a wavelength of 1.5418 Å.
Lines closer than 0.1° are merged.

Peak list (10 most intense, 2θ = 10–90°, by angle)
- 2θ = 28.18°, rel. 16, hkl 0 0 2
- 2θ = 30.22°, rel. 33, hkl 2 1 0
- 2θ = 30.45°, rel. 19, hkl 1 0 2
- 2θ = 33.43°, rel. 100, hkl 2 1 1
- 2θ = 34.38°, rel. 53, hkl 3 0 0
- 2θ = 34.59°, rel. 84, hkl 1 1 2
- 2θ = 49.56°, rel. 23, hkl 2 2 2
- 2θ = 53.31°, rel. 27, hkl 2 1 3
- 2θ = 55.18°, rel. 15, hkl 4 0 2
- 2θ = 66.65°, rel. 15, hkl 5 0 2

Crystal structure
```
data_Tb5Sb3
_chemical_formula_sum 'Tb10 Sb6'
_symmetry_space_group_name_H-M 'P 63/m c m'
_symmetry_Int_Tables_number 193
_symmetry_space_group_name_Hall '-P 6c 2'
_cell_length_a 9.0363
_cell_length_b 9.0363
_cell_length_c 6.3345
_cell_angle_alpha 90.00
_cell_angle_beta 90.00
_cell_angle_gamma 120.00
loop_
_atom_site_label
_atom_site_type_symbol
_atom_site_fract_x
_atom_site_fract_y
_atom_site_fract_z
Tb1 Tb 0.0000 0.2473 0.2500
Tb2 Tb 0.3333 0.6667 0.0000
Sb1 Sb 0.0000 0.3883 0.7500
```

Diffraction record for TbSb3. The XRD peak list is theoretical, not measured: it uses DFT lattice parameters and positions (GGA-PBE) and a wavelength of 1.5418 Å.
Lines closer than 0.1° are merged.

Peak list (10 most intense, 2θ = 10–90°, by angle)
- 2θ = 11.61°, rel. 100, hkl 0 0 2
- 2θ = 16.76°, rel. 25, hkl 1 1 0
- 2θ = 18.16°, rel. 12, hkl 0 2 1
- 2θ = 20.44°, rel. 32, hkl 1 1 2
- 2θ = 23.35°, rel. 20, hkl 0 0 4
- 2θ = 28.88°, rel. 14, hkl 1 1 4
- 2θ = 33.89°, rel. 16, hkl 2 2 0
- 2θ = 35.94°, rel. 27, hkl 2 2 2
- 2θ = 36.80°, rel. 12, hkl 0 4 2
- 2θ = 41.56°, rel. 19, hkl 2 2 4

Crystal structure
```
data_TbSb3
_chemical_formula_sum 'Tb2 Sb6'
_symmetry_space_group_name_H-M 'C m m m'
_symmetry_Int_Tables_number 65
_symmetry_space_group_name_Hall '-C 2 2'
_cell_length_a 6.162
_cell_length_b 10.313
_cell_length_c 15.238
_cell_angle_alpha 90.00
_cell_angle_beta 90.00
_cell_angle_gamma 90.00
loop_
_atom_site_label
_atom_site_type_symbol
_atom_site_fract_x
_atom_site_fract_y
_atom_site_fract_z
Tb1 Tb 0.000 0.000 0.000
Sb1 Sb 0.000 0.000 0.500
Sb2 Sb 0.250 0.250 0.000
```